Entry 1:
Simulated X-ray diffraction stick pattern
Compound: Rb2BaPO4
Radiation: Cu Kα
Structure: a cell relaxed with GGA-PBE
Neutral-atom scattering factors, no anomalous dispersion.

Main lines, by angle (2θ from 10° to 90°):
26.1°, I 66; 29.5°, I 100; 37.2°, I 24; 48.1°, I 48; 54.2°, I 17; 60.6°, I 12; 61.1°, I 12; 62.4°, I 11; 74.9°, I 13; 79.7°, I 12

Structural model:
Unit cell a=6.8369 b=6.8369 c=7.7895 alpha=90.00 beta=90.00 gamma=90.00
Space group I-4 (No. 82)
One atom of each set of equivalent atoms:
Rb1 0.0000 0.0000 0.0000 (multiplicity 2)
Rb2 0.0000 0.5000 0.2500 (multiplicity 2)
Ba1 0.0000 0.5000 0.7500 (multiplicity 2)
P1 0.0000 0.0000 0.5000 (multiplicity 2)
O1 0.0998 0.1569 0.6190 (multiplicity 8)

---

Entry 2:
Simulated X-ray diffraction stick pattern
Compound: BaReP2O8
Radiation: Cu Kα
Structure: a cell relaxed with GGA-PBE
Neutral-atom scattering factors, no anomalous dispersion.

Main lines, by angle (2θ from 10° to 90°):
21.1°, I 38; 22.7°, I 12; 24.9°, I 100; 34.5°, I 36; 36.5°, I 21; 41.7°, I 24; 43.0°, I 11; 51.1°, I 14; 56.2°, I 19; 59.1°, I 15

Structural model:
Unit cell a=5.2041 b=5.2041 c=23.4827 alpha=90.00 beta=90.00 gamma=120.00
Space group R32 (No. 155, hexagonal axes)
One atom of each set of equivalent atoms:
Ba1 0.0000 0.0000 0.0000 (multiplicity 3)
Re1 0.0000 0.0000 0.5000 (multiplicity 3)
P1 0.0000 0.0000 0.2419 (multiplicity 6)
O1 0.0000 0.0000 0.3070 (multiplicity 6)
O2 0.0094 0.5030 0.8876 (multiplicity 18)

---

Entry 3:
Simulated X-ray diffraction stick pattern
Compound: BaP2RuO8
Radiation: Cu Kα
Structure: a cell relaxed with GGA-PBE
Neutral-atom scattering factors, no anomalous dispersion.

Main lines, by angle (2θ from 10° to 90°):
21.2°, I 23; 25.1°, I 100; 34.6°, I 33; 36.9°, I 17; 41.9°, I 19; 43.2°, I 9; 51.5°, I 13; 56.4°, I 19; 59.7°, I 12; 78.5°, I 10

Structural model:
Unit cell a=5.1904 b=5.1904 c=23.1871 alpha=90.00 beta=90.00 gamma=120.00
Space group R32 (No. 155, hexagonal axes)
One atom of each set of equivalent atoms:
Ba1 0.0000 0.0000 0.0000 (multiplicity 3)
P1 0.0000 0.0000 0.2408 (multiplicity 6)
Ru1 0.0000 0.0000 0.5000 (multiplicity 3)
O1 0.0000 0.0000 0.3069 (multiplicity 6)
O2 0.0069 0.5018 0.8872 (multiplicity 18)

---

Entry 4:
Simulated X-ray diffraction stick pattern
Compound: Ba10P6SO24
Radiation: Cu Kα
Structure: a cell relaxed with GGA-PBE
Neutral-atom scattering factors, no anomalous dispersion.

Main lines, by angle (2θ from 10° to 90°):
19.7°, I 14; 25.0°, I 14; 26.2°, I 19; 28.7°, I 100; 29.8°, I 28; 41.8°, I 19; 44.0°, I 17; 45.5°, I 12; 46.2°, I 12; 46.7°, I 14

Structural model:
Unit cell a=10.3936 b=10.3936 c=7.7584 alpha=90.00 beta=90.00 gamma=120.00
Space group P-3 (No. 147)
One atom of each set of equivalent atoms:
Ba1 0.0142 0.2586 0.2611 (multiplicity 6)
Ba2 0.3333 0.6667 0.0191 (multiplicity 2)
Ba3 0.3333 0.6667 0.5198 (multiplicity 2)
P1 0.0298 0.3987 0.7519 (multiplicity 6)
S1 0.0000 0.0000 0.5000 (multiplicity 1)
O1 0.0625 0.3166 0.8991 (multiplicity 6)
O2 0.0948 0.3762 0.5806 (multiplicity 6)
O3 0.1112 0.5699 0.7869 (multiplicity 6)
O4 0.1412 0.6641 0.2627 (multiplicity 6)